(1)
# MgBi2O4
Simulated X-ray powder pattern, CuKα. Input: a cell relaxed with GGA-PBE.
No peak broadening, texture or thermal motion is included.

Cell and atoms:
```
MgBi2O4
1.0
6.718 -1.700 0.000
6.718 1.700 0.000
-4.026 0.000 9.661
Mg Bi O
2 4 8
Direct
0.238 0.238 0.244
0.762 0.762 0.756
0.118 0.118 0.893
0.384 0.384 0.584
0.616 0.616 0.416
0.882 0.882 0.107
0.092 0.092 0.267
0.229 0.229 0.603
0.283 0.283 0.900
0.395 0.395 0.250
0.605 0.605 0.750
0.717 0.717 0.100
0.771 0.771 0.397
0.908 0.908 0.733
```

Peak list (12 most intense, 10 to 90 degrees two-theta, by angle)
- 2θ 18.43, rel. 100
- 2θ 27.42, rel. 46
- 2θ 27.57, rel. 17
- 2θ 28.80, rel. 38
- 2θ 29.65, rel. 70
- 2θ 33.10, rel. 46
- 2θ 37.09, rel. 44
- 2θ 38.59, rel. 16
- 2θ 40.32, rel. 16
- 2θ 41.24, rel. 16
- 2θ 49.23, rel. 25
- 2θ 54.80, rel. 18


(2)
# CrN2
Simulated X-ray powder pattern, CuKα. Input: a cell relaxed with GGA-PBE.
No peak broadening, texture or thermal motion is included.

Cell and atoms:
```
CrN2
1.0
5.944 -4.478 0.000
5.944 4.478 0.000
-2.178 0.000 5.099
Cr N
4 8
Direct
0.045 0.256 0.355
0.256 0.045 0.855
0.744 0.955 0.145
0.955 0.744 0.645
0.000 0.500 0.500
0.140 0.204 0.087
0.163 0.837 0.750
0.204 0.140 0.587
0.500 0.000 0.000
0.796 0.860 0.413
0.837 0.163 0.250
0.860 0.796 0.913
```

Peak list (12 most intense, 10 to 90 degrees two-theta, by angle)
- 2θ 12.78, rel. 100
- 2θ 16.22, rel. 15
- 2θ 18.87, rel. 61
- 2θ 25.80, rel. 7
- 2θ 26.45, rel. 69
- 2θ 32.40, rel. 11
- 2θ 34.14, rel. 9
- 2θ 34.32, rel. 6
- 2θ 34.74, rel. 8
- 2θ 36.59, rel. 10
- 2θ 47.07, rel. 8
- 2θ 53.84, rel. 6


(3)
# Mg2Al2SiH4O9
Simulated X-ray powder pattern, CuKα. Input: a cell relaxed with GGA-PBE.
No peak broadening, texture or thermal motion is included.

Cell and atoms:
```
Mg2Al2SiH4O9
1.0
5.358 0.000 0.000
2.672 4.648 0.000
0.072 0.035 14.121
Mg Al Si H O
4 4 2 8 18
Direct
0.000 0.000 0.000
0.018 0.319 0.500
0.330 0.329 0.001
0.349 0.648 0.499
0.011 0.651 0.303
0.340 0.002 0.804
0.657 0.673 0.999
0.692 0.975 0.499
0.670 0.345 0.802
0.682 0.308 0.301
0.365 0.639 0.138
0.387 0.982 0.358
0.398 0.280 0.637
0.660 0.673 0.638
0.684 0.975 0.138
0.950 0.368 0.138
0.970 0.666 0.859
0.983 0.009 0.638
0.354 0.977 0.928
0.355 0.660 0.069
0.361 0.546 0.264
0.377 0.983 0.427
0.383 0.286 0.567
0.441 0.250 0.764
0.584 0.661 0.758
0.663 0.360 0.920
0.666 0.976 0.069
0.681 0.671 0.568
0.687 0.291 0.419
0.766 0.993 0.258
0.912 0.402 0.264
0.964 0.362 0.068
0.975 0.666 0.927
0.991 0.110 0.764
0.993 0.987 0.568
0.995 0.673 0.428
```

Peak list (12 most intense, 10 to 90 degrees two-theta, by angle)
- 2θ 12.54, rel. 100
- 2θ 19.11, rel. 20
- 2θ 20.13, rel. 59
- 2θ 22.90, rel. 20
- 2θ 25.23, rel. 83
- 2θ 34.03, rel. 40
- 2θ 35.79, rel. 78
- 2θ 35.90, rel. 41
- 2θ 38.59, rel. 17
- 2θ 46.65, rel. 42
- 2θ 59.71, rel. 36
- 2θ 59.81, rel. 19


(4)
# La4CdNi
Simulated X-ray powder pattern, CuKα. Input: a cell relaxed with GGA-PBE.
No peak broadening, texture or thermal motion is included.

Cell and atoms:
```
La4CdNi
1.0
0.000 7.113 7.113
7.113 0.000 7.113
7.113 7.113 0.000
La Cd Ni
16 4 4
Direct
0.187 0.187 0.813
0.187 0.813 0.187
0.187 0.813 0.813
0.403 0.403 0.403
0.403 0.403 0.790
0.403 0.790 0.403
0.560 0.560 0.940
0.560 0.940 0.560
0.560 0.940 0.940
0.790 0.403 0.403
0.813 0.187 0.187
0.813 0.187 0.813
0.813 0.813 0.187
0.940 0.560 0.560
0.940 0.560 0.940
0.940 0.940 0.560
0.171 0.171 0.171
0.171 0.171 0.488
0.171 0.488 0.171
0.488 0.171 0.171
0.173 0.609 0.609
0.609 0.173 0.609
0.609 0.609 0.173
0.609 0.609 0.609
```

Peak list (12 most intense, 10 to 90 degrees two-theta, by angle)
- 2θ 27.32, rel. 29
- 2θ 30.79, rel. 58
- 2θ 32.71, rel. 100
- 2θ 35.70, rel. 26
- 2θ 49.19, rel. 7
- 2θ 52.66, rel. 12
- 2θ 54.75, rel. 52
- 2θ 55.98, rel. 13
- 2θ 65.25, rel. 17
- 2θ 81.12, rel. 9
- 2θ 82.14, rel. 14
- 2θ 83.84, rel. 12


(5)
# Ce2Co5Cu5
Simulated X-ray powder pattern, CuKα. Input: a cell relaxed with GGA-PBE.
No peak broadening, texture or thermal motion is included.

Cell and atoms:
```
Ce2Co5Cu5
1.0
4.101 0.000 0.000
0.000 4.879 0.000
0.000 0.000 8.460
Ce Co Cu
2 5 5
Direct
0.000 0.000 0.000
0.000 0.500 0.500
0.000 0.000 0.337
0.000 0.000 0.663
0.000 0.500 0.152
0.000 0.500 0.848
0.500 0.500 0.000
0.500 0.000 0.500
0.500 0.250 0.248
0.500 0.250 0.752
0.500 0.750 0.248
0.500 0.750 0.752
```

Peak list (12 most intense, 10 to 90 degrees two-theta, by angle)
- 2θ 30.36, rel. 52
- 2θ 36.82, rel. 27
- 2θ 42.78, rel. 38
- 2θ 43.13, rel. 100
- 2θ 44.17, rel. 31
- 2θ 48.44, rel. 10
- 2θ 58.82, rel. 13
- 2θ 62.36, rel. 14
- 2θ 63.18, rel. 23
- 2θ 70.68, rel. 21
- 2θ 78.35, rel. 15
- 2θ 80.54, rel. 15